Record 1
For CdSi2Sn2, a crystal structure in Alexandria, relaxed with GGA-PBE gives the computed X-ray diffraction stick pattern in this record (Cu Kα (weighted mean of Kα1 and Kα2)).
Intensities are scaled so that the largest is 100.

Most intense lines, 2θ from 10° to 90°, sorted by position:
d (Å), 2θ (°), I/Imax, hkl
4.610, 19.25, 10.9, 0 0 2
4.458, 19.92, 13.1, 1 0 1
2.838, 31.53, 100.0, 1 1 2
2.631, 34.07, 16.1, 1 0 3
2.546, 35.25, 50.8, 2 0 0
1.800, 50.71, 18.0, 2 2 0
1.709, 53.64, 16.3, 2 0 4
1.520, 60.94, 30.8, 3 1 2
1.413, 66.11, 12.7, 1 1 6
1.112, 87.81, 12.6, 3 1 6

Crystal structure
```
data_CdSi2Sn2
_chemical_formula_sum 'Cd2 Si4 Sn4'
_cell_length_a 5.0922
_cell_length_b 5.0922
_cell_length_c 9.2198
_cell_angle_alpha 90.00
_cell_angle_beta 90.00
_cell_angle_gamma 90.00
_space_group_name_H-M_alt 'I 4/m m m'
_space_group_IT_number 139
_space_group_name_Hall '-I 4 2'
loop_
_atom_site_label
_atom_site_fract_x
_atom_site_fract_y
_atom_site_fract_z
_atom_site_occupancy
Cd1 0.0000 0.0000 0.0000 1
Si1 0.0000 0.0000 0.3717 1
Sn1 0.0000 0.5000 0.2500 1
```

Record 2
For Ta2CdSi, a crystal structure in Alexandria, relaxed with GGA-PBE gives the computed X-ray diffraction stick pattern in this record (Cu Kα (weighted mean of Kα1 and Kα2)).
Intensities are scaled so that the largest is 100.

Most intense lines, 2θ from 10° to 90°, sorted by position:
d (Å), 2θ (°), I/Imax, hkl
8.752, 10.11, 46.8, 0 0 1
2.685, 33.37, 19.0, 1 1 1
2.371, 37.94, 100.0, 1 1 2
2.343, 38.42, 24.8, 0 2 0
2.188, 41.26, 18.3, 0 0 4
1.767, 51.74, 10.5, 2 0 0
1.599, 57.64, 13.7, 0 2 4
1.411, 66.26, 12.7, 2 2 0
1.358, 69.17, 17.1, 1 3 2
1.296, 73.02, 12.0, 1 1 6

Crystal structure
```
data_Ta2CdSi
_chemical_formula_sum 'Ta4 Cd2 Si2'
_cell_length_a 3.5336
_cell_length_b 4.6860
_cell_length_c 8.7522
_cell_angle_alpha 90.00
_cell_angle_beta 90.00
_cell_angle_gamma 90.00
_space_group_name_H-M_alt 'C m m 2'
_space_group_IT_number 35
loop_
_space_group_symop_operation_xyz
'x,y,z'
'-x,-y,z'
'-x,y,z'
'x,-y,z'
'x+1/2,y+1/2,z'
'-x+1/2,-y+1/2,z'
'-x+1/2,y+1/2,z'
'x+1/2,-y+1/2,z'
loop_
_atom_site_label
_atom_site_fract_x
_atom_site_fract_y
_atom_site_fract_z
_atom_site_occupancy
Ta1 0.0000 0.0000 0.0000 1
Ta2 0.0000 0.5000 0.2533 1
Cd1 0.0000 0.0000 0.5277 1
Si1 0.0000 0.5000 0.7847 1
```

Record 3
For TaCdSi, a crystal structure in Alexandria, relaxed with GGA-PBE gives the computed X-ray diffraction stick pattern in this record (Cu Kα (weighted mean of Kα1 and Kα2)).
Intensities are scaled so that the largest is 100.

Most intense lines, 2θ from 10° to 90°, sorted by position:
d (Å), 2θ (°), I/Imax, hkl
6.822, 12.98, 47.3, 0 0 2
3.411, 26.12, 14.5, 0 0 4
2.746, 32.61, 26.1, 1 1 1
2.386, 37.70, 100.0, 1 1 3
2.274, 39.63, 20.5, 0 0 6
2.265, 39.80, 21.9, 0 2 0
1.784, 51.20, 10.5, 2 0 0
1.605, 57.43, 13.7, 0 2 6
1.333, 70.64, 13.4, 1 1 9
1.330, 70.87, 15.4, 1 3 3

Crystal structure
```
data_TaCdSi
_chemical_formula_sum 'Ta4 Cd4 Si4'
_cell_length_a 3.5684
_cell_length_b 4.5293
_cell_length_c 13.6440
_cell_angle_alpha 90.00
_cell_angle_beta 90.00
_cell_angle_gamma 90.00
_space_group_name_H-M_alt 'F m m 2'
_space_group_IT_number 42
_space_group_name_Hall 'F 2 -2'
loop_
_atom_site_label
_atom_site_fract_x
_atom_site_fract_y
_atom_site_fract_z
_atom_site_occupancy
Ta1 0.0000 0.0000 0.0000 1
Cd1 0.0000 0.0000 0.6745 1
Si1 0.0000 0.0000 0.3592 1
```